Entry 1:
Starting from a PBE-relaxed structure, the powder diffractogram of CsTlNiSeS2 was simulated for Cu Ka.

Peak list (10 most intense, 15° ≤ 2θ ≤ 90°, low angle first)
- 21.44 deg, rel. 26
- 23.07 deg, rel. 25
- 25.33 deg, rel. 34
- 25.80 deg, rel. 37
- 26.01 deg, rel. 100
- 27.66 deg, rel. 70
- 29.48 deg, rel. 53
- 36.59 deg, rel. 20
- 44.82 deg, rel. 22
- 53.51 deg, rel. 25

Cell and atoms:
```
CsTlNiSeS2
1.0
6.8746 0.0000 0.0000
3.1555 6.4144 0.0000
2.9138 0.5142 7.7610
Cs Tl Ni Se S
2 2 2 2 4
Cartesian
3.2934 2.8190 1.2981
9.6504 4.1097 6.4629
6.7558 5.1805 2.9905
6.1880 1.7482 4.7705
6.1854 6.4050 6.5713
6.7584 0.5237 1.1897
3.2299 1.1347 4.5913
9.7139 5.7940 3.1697
4.8412 6.2901 0.2180
6.2515 4.3892 5.6478
6.6923 2.5394 2.1132
8.1026 0.6386 7.5430
```

Entry 2:
Starting from a PBE-relaxed structure, the powder diffractogram of InCu2Sn was simulated for Cu Ka.

Peak list (8 most intense, 15° ≤ 2θ ≤ 90°, low angle first)
- 26.90 deg, rel. 9
- 38.41 deg, rel. 100
- 47.51 deg, rel. 3
- 55.44 deg, rel. 17
- 62.67 deg, rel. 4
- 69.46 deg, rel. 33
- 82.27 deg, rel. 11
- 88.49 deg, rel. 2

Cell and atoms:
```
InCu2Sn
1.0
6.6292 0.0000 0.0000
0.0000 6.6292 0.0000
0.0000 0.0000 6.6292
In Cu Sn
4 8 4
Cartesian
0.0000 0.0000 0.0000
0.0000 0.0000 3.3146
0.0000 3.3146 0.0000
3.3146 0.0000 0.0000
1.6379 1.6379 1.6379
1.6379 1.6379 4.9913
1.6379 4.9913 1.6379
1.6379 4.9913 4.9913
4.9913 1.6379 1.6379
4.9913 1.6379 4.9913
4.9913 4.9913 1.6379
4.9913 4.9913 4.9913
0.0000 3.3146 3.3146
3.3146 0.0000 3.3146
3.3146 3.3146 0.0000
3.3146 3.3146 3.3146
```

Entry 3:
Starting from a PBE-relaxed structure, the powder diffractogram of Li4MgReO6 was simulated for Cu Ka.

Peak list (10 most intense, 15° ≤ 2θ ≤ 90°, low angle first)
- 18.68 deg, rel. 96
- 20.14 deg, rel. 56
- 21.10 deg, rel. 100
- 23.66 deg, rel. 75
- 27.60 deg, rel. 50
- 32.36 deg, rel. 31
- 35.81 deg, rel. 50
- 37.49 deg, rel. 40
- 43.55 deg, rel. 25
- 43.74 deg, rel. 51

Cell and atoms:
```
Li4MgReO6
1.0
2.5491 -4.4099 0.0000
2.5491 4.4099 0.0000
-1.7243 0.0000 4.7510
Li Mg Re O
4 1 1 6
Cartesian
0.0000 0.0000 0.0000
1.6870 2.9907 2.3755
1.6870 0.0235 2.3755
1.6870 -3.0295 2.3755
2.5491 1.4598 0.0000
2.5491 -1.4782 0.0000
0.8224 1.5676 1.1201
0.0566 -0.0717 3.6261
0.9576 -1.4993 1.0937
2.5515 1.5676 3.6309
3.3174 -0.0717 1.1249
2.4164 -1.4993 3.6573
```

Entry 4:
Starting from a PBE-relaxed structure, the powder diffractogram of Ta5Ni8 was simulated for Cu Ka.

Peak list (10 most intense, 15° ≤ 2θ ≤ 90°, low angle first)
- 30.62 deg, rel. 27
- 37.32 deg, rel. 100
- 40.57 deg, rel. 44
- 42.84 deg, rel. 77
- 43.51 deg, rel. 32
- 43.66 deg, rel. 48
- 49.02 deg, rel. 57
- 71.71 deg, rel. 22
- 76.27 deg, rel. 21
- 79.58 deg, rel. 27

Cell and atoms:
```
Ta5Ni8
1.0
2.4092 1.3910 8.7583
-2.4092 1.3910 8.7583
0.0000 -2.7819 8.7583
Ta Ni
5 8
Cartesian
0.0000 0.0000 0.0000
0.0000 0.0000 9.0287
0.0000 0.0000 11.8570
0.0000 0.0000 14.4177
0.0000 0.0000 17.2460
0.0000 -1.3729 6.6347
-1.1890 0.6864 6.6347
0.0000 0.0000 4.3442
-1.1890 -0.6864 19.6401
1.1890 0.6864 6.6347
0.0000 0.0000 21.9306
1.1890 -0.6864 19.6401
0.0000 1.3729 19.6401
```

Entry 5:
Starting from a PBE-relaxed structure, the powder diffractogram of Ta28Ni was simulated for Cu Ka.

Peak list (10 most intense, 15° ≤ 2θ ≤ 90°, low angle first)
- 37.16 deg, rel. 100
- 41.25 deg, rel. 32
- 43.17 deg, rel. 9
- 45.03 deg, rel. 18
- 62.70 deg, rel. 6
- 64.14 deg, rel. 10
- 66.98 deg, rel. 28
- 68.38 deg, rel. 6
- 72.50 deg, rel. 6
- 79.16 deg, rel. 10

Cell and atoms:
```
Ta28Ni
1.0
-5.1331 5.1331 5.1331
5.1331 -5.1331 5.1331
5.1331 5.1331 -5.1331
Ta Ni
28 1
Cartesian
3.1774 3.1774 -3.1774
2.8609 0.9489 -0.9489
2.8609 -0.9489 0.9489
5.5166 1.4455 -1.4455
3.1774 -3.1774 3.1774
5.5166 -1.4455 1.4455
7.4054 0.9489 0.9489
0.9489 2.8609 -0.9489
0.9489 -0.9489 2.8609
4.7496 1.4455 1.4455
3.6877 3.6877 -0.3835
3.6877 -0.3835 3.6877
-0.9489 2.8609 0.9489
-0.9489 0.9489 2.8609
1.9558 1.9558 1.9558
1.4455 5.5166 -1.4455
1.4455 -1.4455 5.5166
1.4455 4.7496 1.4455
1.4455 1.4455 4.7496
-3.1774 3.1774 3.1774
4.1842 4.1842 2.2722
4.1842 2.2722 4.1842
-1.4455 5.5166 1.4455
-1.4455 1.4455 5.5166
-0.3835 3.6877 3.6877
0.9489 7.4054 0.9489
0.9489 0.9489 7.4054
2.2722 4.1842 4.1842
0.0000 0.0000 0.0000
```

Entry 6:
Starting from a PBE-relaxed structure, the powder diffractogram of MgAlCu6 was simulated for Cu Ka.

Peak list (10 most intense, 15° ≤ 2θ ≤ 90°, low angle first)
- 19.64 deg, rel. 7
- 28.74 deg, rel. 11
- 39.90 deg, rel. 25
- 42.27 deg, rel. 28
- 45.40 deg, rel. 100
- 59.52 deg, rel. 14
- 72.44 deg, rel. 15
- 79.50 deg, rel. 17
- 87.61 deg, rel. 17
- 89.78 deg, rel. 12

Cell and atoms:
```
MgAlCu6
1.0
5.2185 0.0000 0.0000
-2.6092 4.5194 0.0000
0.0000 0.0000 4.2762
Mg Al Cu
1 1 6
Cartesian
0.0000 0.0000 0.0000
0.0000 3.0129 2.1381
1.3432 0.7755 2.1381
2.6093 0.0088 0.0000
1.3122 2.2553 0.0000
3.8753 0.7755 2.1381
2.6093 2.9684 2.1381
3.9063 2.2553 0.0000
```